Record 1
Calculated X-ray powder pattern of Pr2AlGa6Pt for copper Kα, from a crystal structure in Alexandria, relaxed with GGA-PBE.
Neutral-atom scattering factors, no anomalous dispersion.

Main lines, sorted by position (2θ = 10–80°):
d_spacing  I/Imax  index
5.513  28  1 0 1
3.785  21  1 0 7
3.221  72  1 1 0
3.005  41  0 0 12
2.602  57  2 0 5
2.510  28  1 1 9
2.453  100  0 2 7
2.094  18  1 2 2
1.952  26  2 1 7
1.927  23  1 1 15
1.688  25  2 0 17
1.611  35  2 2 0

Cell and atoms:
```
data_Pr2AlGa6Pt
_cell_length_a 6.4422
_cell_length_b 6.4422
_cell_length_c 36.0610
_cell_angle_alpha 90.00
_cell_angle_beta 90.00
_cell_angle_gamma 120.00
_symmetry_space_group_name_H-M 'R -3 m'
_symmetry_Int_Tables_number 166
_symmetry_space_group_name_Hall '-R 3 2"'
loop_
_atom_site_label
_atom_site_fract_x
_atom_site_fract_y
_atom_site_fract_z
_atom_site_occupancy
Pr1 0.0000 0.0000 0.1158 1
Pr2 0.0000 0.0000 0.2982 1
Al1 0.0000 0.0000 0.0000 1
Al2 0.0000 0.0000 0.5000 1
Ga1 0.0386 0.5193 0.2899 1
Ga2 0.0766 0.5383 0.8746 1
Pt1 0.0000 0.0000 0.4322 1
```

=====

Record 2
Calculated X-ray powder pattern of PrSmAlGa for copper Kα, from a crystal structure in Alexandria, relaxed with GGA-PBE.
Neutral-atom scattering factors, no anomalous dispersion.

Main lines, sorted by position (2θ = 10–80°):
d_spacing  I/Imax  index
4.184  14  0 1 1
3.384  42  1 0 2
2.967  100  1 1 1
2.901  54  0 1 3
2.847  25  0 0 4
2.388  39  1 1 3
2.358  17  1 0 4
2.249  24  0 2 0
2.104  20  2 0 0
1.873  16  1 2 2
1.703  22  2 1 3
1.537  14  2 2 0

Cell and atoms:
```
data_PrSmAlGa
_cell_length_a 4.208
_cell_length_b 4.499
_cell_length_c 11.387
_cell_angle_alpha 90.00
_cell_angle_beta 90.00
_cell_angle_gamma 90.00
_symmetry_space_group_name_H-M 'A m m 2'
_symmetry_Int_Tables_number 38
_symmetry_space_group_name_Hall 'A 2 -2'
loop_
_atom_site_label
_atom_site_fract_x
_atom_site_fract_y
_atom_site_fract_z
_atom_site_occupancy
Pr1 0.000 0.000 0.000 1
Sm1 0.500 0.000 0.284 1
Al1 0.000 0.000 0.710 1
Ga1 0.500 0.000 0.572 1
```

=====

Record 3
Calculated X-ray powder pattern of Pr2AlZnGa6 for copper Kα, from a crystal structure in Alexandria, relaxed with GGA-PBE.
Neutral-atom scattering factors, no anomalous dispersion.

Main lines, sorted by position (2θ = 10–80°):
d_spacing  I/Imax  index
3.217  50  1 1 0
3.034  39  1 0 10
3.015  62  0 0 12
2.753  19  2 0 2
2.600  100  2 0 5
2.452  95  0 2 7
2.207  34  0 2 10
2.022  18  1 2 5
1.930  16  1 1 15
1.691  25  2 0 17
1.608  34  2 2 0
1.419  19  2 2 12

Cell and atoms:
```
data_Pr2AlZnGa6
_cell_length_a 6.4334
_cell_length_b 6.4334
_cell_length_c 36.1770
_cell_angle_alpha 90.00
_cell_angle_beta 90.00
_cell_angle_gamma 120.00
_symmetry_space_group_name_H-M 'R -3 m'
_symmetry_Int_Tables_number 166
_symmetry_space_group_name_Hall '-R 3 2"'
loop_
_atom_site_label
_atom_site_fract_x
_atom_site_fract_y
_atom_site_fract_z
_atom_site_occupancy
Pr1 0.0000 0.0000 0.1133 1
Pr2 0.0000 0.0000 0.2963 1
Al1 0.0000 0.0000 0.0000 1
Al2 0.0000 0.0000 0.5000 1
Zn1 0.0000 0.0000 0.4304 1
Ga1 0.0447 0.5224 0.2914 1
Ga2 0.0737 0.5368 0.8726 1
```

=====

Record 4
Calculated X-ray powder pattern of Al4GaPt for copper Kα, from a crystal structure in Alexandria, relaxed with GGA-PBE.
Neutral-atom scattering factors, no anomalous dispersion.

Main lines, sorted by position (2θ = 10–80°):
d_spacing  I/Imax  index
5.412  15  0 1 1
5.319  15  1 0 1
3.462  100  1 1 2
2.130  26  0 2 4
2.122  26  2 2 0
2.107  25  2 0 4
1.824  17  1 3 2
1.805  17  1 1 6
1.795  16  3 1 2
1.231  9  2 4 4
1.223  9  2 2 8
1.218  8  4 2 4

Cell and atoms:
```
data_Al4GaPt
_cell_length_a 5.939
_cell_length_b 6.068
_cell_length_c 11.966
_cell_angle_alpha 90.00
_cell_angle_beta 90.00
_cell_angle_gamma 90.00
_symmetry_space_group_name_H-M 'I m m a'
_symmetry_Int_Tables_number 74
_symmetry_space_group_name_Hall '-I 2b 2'
loop_
_atom_site_label
_atom_site_fract_x
_atom_site_fract_y
_atom_site_fract_z
_atom_site_occupancy
Al1 0.239 0.000 0.000 1
Al2 0.250 0.013 0.250 1
Ga1 0.000 0.250 0.625 1
Pt1 0.000 0.250 0.125 1
```

=====

Record 5
Calculated X-ray powder pattern of Sr2AlGaPt6 for copper Kα, from a crystal structure in Alexandria, relaxed with GGA-PBE.
Neutral-atom scattering factors, no anomalous dispersion.

Main lines, sorted by position (2θ = 10–80°):
d_spacing  I/Imax  index
4.556  38  0 1 2
3.823  78  0 0 6
3.369  15  0 1 5
2.426  98  2 0 2
2.293  29  1 1 6
2.278  100  0 2 4
2.082  19  1 0 10
1.877  41  2 0 8
1.685  17  0 2 10
1.433  27  2 2 0
1.342  22  2 2 6
1.234  18  0 4 2

Cell and atoms:
```
data_Sr2AlGaPt6
_cell_length_a 5.7324
_cell_length_b 5.7324
_cell_length_c 22.9398
_cell_angle_alpha 90.00
_cell_angle_beta 90.00
_cell_angle_gamma 120.00
_symmetry_space_group_name_H-M 'R -3 m'
_symmetry_Int_Tables_number 166
_symmetry_space_group_name_Hall '-R 3 2"'
loop_
_atom_site_label
_atom_site_fract_x
_atom_site_fract_y
_atom_site_fract_z
_atom_site_occupancy
Sr1 0.0000 0.0000 0.2054 1
Al1 0.0000 0.0000 0.5000 1
Ga1 0.0000 0.0000 0.0000 1
Pt1 0.0097 0.5049 0.2526 1
```

=====

Record 6
Calculated X-ray powder pattern of Tb2Al2GaPt5 for copper Kα, from a crystal structure in Alexandria, relaxed with GGA-PBE.
Neutral-atom scattering factors, no anomalous dispersion.

Main lines, sorted by position (2θ = 10–80°):
d_spacing  I/Imax  index
3.643  24  0 0 1
2.812  51  2 1 1
2.523  31  2 2 1
2.400  74  4 1 0
2.374  100  3 1 1
2.332  26  3 3 0
2.212  17  4 2 0
2.192  39  3 2 1
1.822  27  0 0 2
1.451  31  4 1 2
1.437  26  3 3 2
1.306  18  7 1 1

Cell and atoms:
```
data_Tb2Al2GaPt5
_cell_length_a 9.894
_cell_length_b 9.894
_cell_length_c 3.643
_cell_angle_alpha 90.00
_cell_angle_beta 90.00
_cell_angle_gamma 90.00
_symmetry_space_group_name_H-M 'P 4/m b m'
_symmetry_Int_Tables_number 127
_symmetry_space_group_name_Hall '-P 4 2ab'
loop_
_atom_site_label
_atom_site_fract_x
_atom_site_fract_y
_atom_site_fract_z
_atom_site_occupancy
Tb1 0.178 0.322 0.000 1
Al1 0.122 0.622 0.000 1
Ga1 0.000 0.000 0.000 1
Pt1 0.000 0.500 0.500 1
Pt2 0.061 0.794 0.500 1
```

=====

Record 7
Calculated X-ray powder pattern of TmAlGaPt3 for copper Kα, from a crystal structure in Alexandria, relaxed with GGA-PBE.
Neutral-atom scattering factors, no anomalous dispersion.

Main lines, sorted by position (2θ = 10–80°):
d_spacing  I/Imax  index
4.005  99  0 4 0
3.251  14  0 4 1
2.639  100  2 2 0
2.630  99  0 2 2
1.980  24  1 7 1
1.973  66  2 0 2
1.929  69  2 6 0
1.770  43  2 4 2
1.405  14  2 8 2
1.398  19  4 0 0
1.234  20  4 2 2
1.231  19  2 2 4

Cell and atoms:
```
data_TmAlGaPt3
_cell_length_a 5.591
_cell_length_b 16.018
_cell_length_c 5.568
_cell_angle_alpha 90.00
_cell_angle_beta 90.00
_cell_angle_gamma 90.00
_symmetry_space_group_name_H-M 'C m c m'
_symmetry_Int_Tables_number 63
_symmetry_space_group_name_Hall '-C 2c 2'
loop_
_atom_site_label
_atom_site_fract_x
_atom_site_fract_y
_atom_site_fract_z
_atom_site_occupancy
Tm1 0.000 0.204 0.250 1
Al1 0.000 0.406 0.750 1
Ga1 0.000 0.099 0.750 1
Pt1 0.000 0.253 0.750 1
Pt2 0.249 0.000 0.000 1
```

=====

Record 8
Calculated X-ray powder pattern of AlVGaPt2 for copper Kα, from a crystal structure in Alexandria, relaxed with GGA-PBE.
Neutral-atom scattering factors, no anomalous dispersion.

Main lines, sorted by position (2θ = 10–80°):
d_spacing  I/Imax  index
4.567  35  0 0 1
3.203  19  1 1 0
2.622  100  1 1 1
2.283  21  0 0 2
2.265  41  2 0 0
2.029  17  2 0 1
1.859  9  1 1 2
1.608  28  2 0 2
1.602  14  2 2 0
1.375  13  1 1 3
1.367  26  3 1 1
1.311  14  2 2 2

Cell and atoms:
```
data_AlVGaPt2
_cell_length_a 4.530
_cell_length_b 4.530
_cell_length_c 4.567
_cell_angle_alpha 90.00
_cell_angle_beta 90.00
_cell_angle_gamma 90.00
_symmetry_space_group_name_H-M 'P 4/m m m'
_symmetry_Int_Tables_number 123
_symmetry_space_group_name_Hall '-P 4 2'
loop_
_atom_site_label
_atom_site_fract_x
_atom_site_fract_y
_atom_site_fract_z
_atom_site_occupancy
Al1 0.000 0.000 0.000 1
V1 0.000 0.000 0.500 1
Ga1 0.500 0.500 0.500 1
Pt1 0.000 0.500 0.000 1
```

=====

Record 9
Calculated X-ray powder pattern of YAl2GaPt4 for copper Kα, from a crystal structure in Alexandria, relaxed with GGA-PBE.
Neutral-atom scattering factors, no anomalous dispersion.

Main lines, sorted by position (2θ = 10–80°):
d_spacing  I/Imax  index
8.589  36  0 0 3
3.579  16  0 1 2
3.225  64  1 0 4
2.618  46  1 0 7
2.436  62  0 1 8
2.151  100  1 1 0
1.983  41  0 1 11
1.612  17  2 0 8
1.342  26  1 1 15
1.290  17  1 2 8
1.242  17  3 0 0
1.207  17  1 2 11

Cell and atoms:
```
data_YAl2GaPt4
_cell_length_a 4.3015
_cell_length_b 4.3015
_cell_length_c 25.7664
_cell_angle_alpha 90.00
_cell_angle_beta 90.00
_cell_angle_gamma 120.00
_symmetry_space_group_name_H-M 'R -3 m'
_symmetry_Int_Tables_number 166
_symmetry_space_group_name_Hall '-R 3 2"'
loop_
_atom_site_label
_atom_site_fract_x
_atom_site_fract_y
_atom_site_fract_z
_atom_site_occupancy
Y1 0.0000 0.0000 0.0000 1
Al1 0.0000 0.0000 0.2449 1
Ga1 0.0000 0.0000 0.5000 1
Pt1 0.0000 0.0000 0.1337 1
Pt2 0.0000 0.0000 0.4018 1
```

=====

Record 10
Calculated X-ray powder pattern of Y2Al2GaPt5 for copper Kα, from a crystal structure in Alexandria, relaxed with GGA-PBE.
Neutral-atom scattering factors, no anomalous dispersion.

Main lines, sorted by position (2θ = 10–80°):
d_spacing  I/Imax  index
3.637  46  0 0 1
2.808  34  2 1 1
2.520  29  2 2 1
2.397  64  4 1 0
2.370  100  3 1 1
2.329  20  3 3 0
2.210  19  4 2 0
2.189  43  3 2 1
2.001  20  4 1 1
1.819  26  0 0 2
1.449  27  4 1 2
1.305  23  7 1 1

Cell and atoms:
```
data_Y2Al2GaPt5
_cell_length_a 9.883
_cell_length_b 9.883
_cell_length_c 3.637
_cell_angle_alpha 90.00
_cell_angle_beta 90.00
_cell_angle_gamma 90.00
_symmetry_space_group_name_H-M 'P 4/m b m'
_symmetry_Int_Tables_number 127
_symmetry_space_group_name_Hall '-P 4 2ab'
loop_
_atom_site_label
_atom_site_fract_x
_atom_site_fract_y
_atom_site_fract_z
_atom_site_occupancy
Y1 0.177 0.323 0.000 1
Al1 0.122 0.622 0.000 1
Ga1 0.000 0.000 0.000 1
Pt1 0.000 0.500 0.500 1
Pt2 0.061 0.795 0.500 1
```

=====

Record 11
Calculated X-ray powder pattern of Y2AlGa2Pt5 for copper Kα, from a crystal structure in Alexandria, relaxed with GGA-PBE.
Neutral-atom scattering factors, no anomalous dispersion.

Main lines, sorted by position (2θ = 10–80°):
d_spacing  I/Imax  index
3.564  37  0 0 1
2.903  19  2 0 1
2.511  27  2 2 1
2.427  55  4 1 0
2.366  100  3 1 1
2.358  44  3 3 0
2.190  42  3 2 1
2.048  34  4 0 1
1.782  26  0 0 2
1.492  22  6 3 0
1.436  21  4 1 2
1.422  18  3 3 2

Cell and atoms:
```
data_Y2AlGa2Pt5
_cell_length_a 10.005
_cell_length_b 10.005
_cell_length_c 3.564
_cell_angle_alpha 90.00
_cell_angle_beta 90.00
_cell_angle_gamma 90.00
_symmetry_space_group_name_H-M 'P 4/m b m'
_symmetry_Int_Tables_number 127
_symmetry_space_group_name_Hall '-P 4 2ab'
loop_
_atom_site_label
_atom_site_fract_x
_atom_site_fract_y
_atom_site_fract_z
_atom_site_occupancy
Y1 0.175 0.325 0.000 1
Al1 0.000 0.000 0.000 1
Ga1 0.127 0.627 0.000 1
Pt1 0.000 0.500 0.500 1
Pt2 0.049 0.800 0.500 1
```

=====

Record 12
Calculated X-ray powder pattern of PuAl2Ga4 for copper Kα, from a crystal structure in Alexandria, relaxed with GGA-PBE.
Neutral-atom scattering factors, no anomalous dispersion.

Main lines, sorted by position (2θ = 10–80°):
d_spacing  I/Imax  index
3.920  38  1 0 0
3.643  72  1 0 1
3.069  52  1 0 2
2.668  100  1 1 1
2.519  27  1 0 3
2.466  38  0 0 4
2.119  50  1 1 3
1.821  64  2 0 2
1.726  18  2 1 1
1.607  20  1 1 5
1.259  17  2 0 6
1.230  17  3 1 1

Cell and atoms:
```
data_PuAl2Ga4
_cell_length_a 3.920
_cell_length_b 3.920
_cell_length_c 9.863
_cell_angle_alpha 90.00
_cell_angle_beta 90.00
_cell_angle_gamma 90.00
_symmetry_space_group_name_H-M 'P -4 2 m'
_symmetry_Int_Tables_number 111
_symmetry_space_group_name_Hall 'P -4 2'
loop_
_atom_site_label
_atom_site_fract_x
_atom_site_fract_y
_atom_site_fract_z
_atom_site_occupancy
Pu1 0.000 0.000 0.000 1
Al1 0.000 0.500 0.500 1
Ga1 0.257 0.257 0.264 1
```

=====

Record 13
Calculated X-ray powder pattern of PuAlGa3 for copper Kα, from a crystal structure in Alexandria, relaxed with GGA-PBE.
Neutral-atom scattering factors, no anomalous dispersion.

Main lines, sorted by position (2θ = 10–80°):
d_spacing  I/Imax  index
5.696  37  0 0 1
4.099  100  1 1 0
3.292  34  1 1 1
2.626  87  0 2 1
2.571  78  1 0 -2
2.555  43  2 1 0
2.516  50  1 0 2
2.508  45  2 0 1
2.395  45  1 2 -1
2.372  68  1 2 1
2.361  38  1 1 -2
2.353  58  2 1 -1

Cell and atoms:
```
data_PuAlGa3
_cell_length_a 5.666
_cell_length_b 5.922
_cell_length_c 5.699
_cell_angle_alpha 90.00
_cell_angle_beta 91.61
_cell_angle_gamma 90.00
_symmetry_space_group_name_H-M 'P 1 21/m 1'
_symmetry_Int_Tables_number 11
_symmetry_space_group_name_Hall '-P 2yb'
loop_
_atom_site_label
_atom_site_fract_x
_atom_site_fract_y
_atom_site_fract_z
_atom_site_occupancy
Pu1 0.178 0.250 0.143 1
Al1 0.045 0.750 0.375 1
Ga1 0.339 0.750 0.051 1
Ga2 0.340 0.002 0.661 1
```